# 1
For B3C7, the PBE geometry in Alexandria gives the computed XRD peak list in this record (Cu Kα, 1.54184 Å).
Kinematic intensities with the Lorentz-polarization factor, no thermal factor.

Largest 10 diffraction maxima, low angle first, 10° ≤ 2θ ≤ 90°:
Position (°2θ)  I_rel
17.7  32
42.2  100
42.9  91
71.0  48
75.0  12
76.9  11
78.8  4
81.5  7
82.0  6
87.7  3

```
data_B3C7
_cell_length_a 2.479
_cell_length_b 2.534
_cell_length_c 20.023
_cell_angle_alpha 90.00
_cell_angle_beta 90.00
_cell_angle_gamma 90.00
_space_group_name_H-M_alt 'I m m 2'
_space_group_IT_number 44
loop_
_space_group_symop_operation_xyz
'x,y,z'
'-x,-y,z'
'-x,y,z'
'x,-y,z'
'x+1/2,y+1/2,z+1/2'
'-x+1/2,-y+1/2,z+1/2'
'-x+1/2,y+1/2,z+1/2'
'x+1/2,-y+1/2,z+1/2'
loop_
_atom_site_label
_atom_site_fract_x
_atom_site_fract_y
_atom_site_fract_z
_atom_site_occupancy
B1 0.000 0.000 0.000 1
B2 0.000 0.000 0.195 1
B3 0.000 0.500 0.433 1
C1 0.000 0.000 0.381 1
C2 0.000 0.000 0.597 1
C3 0.000 0.000 0.791 1
C4 0.000 0.500 0.052 1
C5 0.000 0.500 0.248 1
C6 0.000 0.500 0.641 1
C7 0.000 0.500 0.838 1
```

# 2
For B7C, the PBE geometry in Alexandria gives the computed XRD peak list in this record (Cu Kα, 1.54184 Å).
Kinematic intensities with the Lorentz-polarization factor, no thermal factor.

Largest 10 diffraction maxima, low angle first, 10° ≤ 2θ ≤ 90°:
Position (°2θ)  I_rel
17.4  4
26.3  1
42.8  100
47.4  1
60.5  1
67.9  36
68.5  16
74.2  1
74.6  6
83.2  12

```
data_B7C
_cell_length_a 2.323
_cell_length_b 2.323
_cell_length_c 10.175
_cell_angle_alpha 90.00
_cell_angle_beta 90.00
_cell_angle_gamma 90.00
_space_group_name_H-M_alt 'P -4 m 2'
_space_group_IT_number 115
loop_
_space_group_symop_operation_xyz
'x,y,z'
'y,-x,-z'
'-x,-y,z'
'-y,x,-z'
'-x,y,z'
'-y,-x,-z'
'x,-y,z'
'y,x,-z'
loop_
_atom_site_label
_atom_site_fract_x
_atom_site_fract_y
_atom_site_fract_z
_atom_site_occupancy
B1 0.000 0.000 0.000 1
B2 0.000 0.500 0.392 1
B3 0.000 0.500 0.869 1
B4 0.500 0.500 0.260 1
C1 0.000 0.000 0.500 1
```

# 3
For B5C7, the PBE geometry in Alexandria gives the computed XRD peak list in this record (Cu Kα, 1.54184 Å).
Kinematic intensities with the Lorentz-polarization factor, no thermal factor.

Largest 10 diffraction maxima, low angle first, 10° ≤ 2θ ≤ 90°:
Position (°2θ)  I_rel
23.3  24
31.7  22
40.9  88
41.6  99
41.7  100
42.3  87
70.1  51
70.4  24
72.0  23
72.7  21

```
data_B5C7
_cell_length_a 3.692
_cell_length_b 3.818
_cell_length_c 5.900
_cell_angle_alpha 89.76
_cell_angle_beta 73.35
_cell_angle_gamma 88.68
_space_group_name_H-M_alt 'P 1'
_space_group_IT_number 1
loop_
_space_group_symop_operation_xyz
'x,y,z'
loop_
_atom_site_label
_atom_site_fract_x
_atom_site_fract_y
_atom_site_fract_z
_atom_site_occupancy
B1 0.000 0.000 0.000 1
B2 0.069 0.737 0.493 1
B3 0.214 0.323 0.215 1
B4 0.508 0.304 0.497 1
B5 0.643 0.047 0.726 1
C1 0.178 0.531 0.707 1
C2 0.356 0.763 0.857 1
C3 0.365 0.013 0.343 1
C4 0.531 0.539 0.017 1
C5 0.684 0.779 0.191 1
C6 0.845 0.539 0.346 1
C7 0.854 0.306 0.862 1
```